Entry 1:
For Ba2LiY2Fe4O10, a cell relaxed with GGA+U gives the theoretical XRD peak list in this record (copper Kα).
Lines closer than 0.1° are merged.

Cell and atoms:
```
data_Ba2LiY2Fe4O10
_space_group_name_H-M_alt 'P 1'
_space_group_IT_number 1
_cell_length_a 3.7506
_cell_length_b 8.5534
_cell_length_c 8.5858
_cell_angle_alpha 99.35
_cell_angle_beta 90.02
_cell_angle_gamma 91.22
loop_
_space_group_symop_operation_xyz
'x,y,z'
loop_
_atom_site_label
_atom_site_fract_x
_atom_site_fract_y
_atom_site_fract_z
Ba1 0.0000 0.0000 0.0000
Ba2 0.0244 0.4603 0.1187
Li1 0.3466 0.8130 0.6781
Y1 0.0105 0.5232 0.5554
Y2 0.9881 0.0434 0.5567
Fe1 0.5070 0.2725 0.7878
Fe2 0.5077 0.2414 0.3419
Fe3 0.5096 0.7651 0.3365
Fe4 0.5478 0.6450 0.8766
O1 0.0064 0.2584 0.8300
O2 0.0094 0.2634 0.4330
O3 0.0469 0.7716 0.4802
O4 0.0482 0.7056 0.8092
O5 0.4950 0.0174 0.7259
O6 0.4995 0.0210 0.3906
O7 0.5085 0.2100 0.1213
O8 0.5165 0.4716 0.6886
O9 0.5203 0.4941 0.3648
O10 0.5588 0.7156 0.1040
```

Top 10 peaks for 10° ≤ 2θ ≤ 90°, by intensity:
2theta	I (rel.)
32.28	1000
31.82	665
27.29	470
31.94	429
31.58	342
48.56	294
21.02	271
42.87	200
56.96	196
31.74	193

***

Entry 2:
For Ba2LiY2Fe4O10, a cell relaxed with GGA+U gives the theoretical XRD peak list in this record (copper Kα).
Lines closer than 0.1° are merged.

Cell and atoms:
```
data_Ba2LiY2Fe4O10
_space_group_name_H-M_alt 'P 1'
_space_group_IT_number 1
_cell_length_a 8.0901
_cell_length_b 3.8492
_cell_length_c 9.0228
_cell_angle_alpha 90.00
_cell_angle_beta 91.15
_cell_angle_gamma 90.00
loop_
_space_group_symop_operation_xyz
'x,y,z'
loop_
_atom_site_label
_atom_site_fract_x
_atom_site_fract_y
_atom_site_fract_z
Ba1 0.0000 0.0000 0.0000
Ba2 0.4518 0.0000 0.1362
Li1 0.0187 0.5000 0.2452
Y1 0.5221 0.0000 0.5749
Y2 0.9940 0.0000 0.5886
Fe1 0.2561 0.5000 0.4054
Fe2 0.2886 0.5000 0.8113
Fe3 0.7522 0.5000 0.3596
Fe4 0.7517 0.5000 0.7756
O1 0.0197 0.5000 0.7688
O2 0.2214 0.5000 0.1671
O3 0.2573 0.0000 0.4920
O4 0.2949 0.0000 0.8722
O5 0.5100 0.5000 0.7050
O6 0.5141 0.5000 0.3803
O7 0.7547 0.0000 0.4411
O8 0.7651 0.0000 0.7608
O9 0.8068 0.5000 0.1559
O10 0.9899 0.5000 0.4469
```

Top 10 peaks for 10° ≤ 2θ ≤ 90°, by intensity:
2theta	I (rel.)
30.53	1000
32.10	873
29.97	519
29.37	374
47.23	345
44.82	268
14.56	249
60.74	194
55.57	190
67.13	176

***

Entry 3:
For Ba2LiY2Fe4O10, a cell relaxed with GGA+U gives the theoretical XRD peak list in this record (copper Kα).
Lines closer than 0.1° are merged.

Cell and atoms:
```
data_Ba2LiY2Fe4O10
_space_group_name_H-M_alt 'P 1'
_space_group_IT_number 1
_cell_length_a 3.9108
_cell_length_b 8.1722
_cell_length_c 8.3981
_cell_angle_alpha 90.00
_cell_angle_beta 90.00
_cell_angle_gamma 90.00
loop_
_space_group_symop_operation_xyz
'x,y,z'
loop_
_atom_site_label
_atom_site_fract_x
_atom_site_fract_y
_atom_site_fract_z
Ba1 0.0000 0.2337 0.0000
Ba2 0.0000 0.7663 0.0000
Li1 0.0000 0.5000 0.2139
Y1 0.0000 0.2336 0.5488
Y2 0.0000 0.7664 0.5488
Fe1 0.5000 0.0000 0.3177
Fe2 0.5000 0.0000 0.7532
Fe3 0.5000 0.5000 0.3743
Fe4 0.5000 0.5000 0.7735
O1 0.0000 0.0000 0.3905
O2 0.0000 0.0000 0.7374
O3 0.0000 0.5000 0.4500
O4 0.0000 0.5000 0.8163
O5 0.5000 0.0000 0.0896
O6 0.5000 0.2303 0.4035
O7 0.5000 0.2488 0.7439
O8 0.5000 0.5000 0.1390
O9 0.5000 0.7512 0.7439
O10 0.5000 0.7697 0.4035
```

Top 10 peaks for 10° ≤ 2θ ≤ 90°, by intensity:
2theta	I (rel.)
30.53	1000
31.25	996
31.67	854
55.24	335
56.60	333
44.34	328
46.44	314
38.40	275
54.45	218
66.15	188

***

Entry 4:
For Ba2LiY2Fe4O10, a cell relaxed with GGA+U gives the theoretical XRD peak list in this record (copper Kα).
Lines closer than 0.1° are merged.

Cell and atoms:
```
data_Ba2LiY2Fe4O10
_space_group_name_H-M_alt 'P 1'
_space_group_IT_number 1
_cell_length_a 3.7829
_cell_length_b 8.3631
_cell_length_c 8.3974
_cell_angle_alpha 95.12
_cell_angle_beta 93.28
_cell_angle_gamma 90.06
loop_
_space_group_symop_operation_xyz
'x,y,z'
loop_
_atom_site_label
_atom_site_fract_x
_atom_site_fract_y
_atom_site_fract_z
Ba1 0.0000 0.0000 0.0000
Ba2 0.0244 0.5168 0.9504
Li1 0.7276 0.3311 0.1972
Y1 0.9668 0.9666 0.5395
Y2 0.9835 0.4623 0.5097
Fe1 0.4322 0.1408 0.3477
Fe2 0.4836 0.7035 0.2474
Fe3 0.4941 0.7370 0.7380
Fe4 0.5022 0.2383 0.7496
O1 0.4426 0.9121 0.3866
O2 0.4602 0.3680 0.3804
O3 0.4946 0.4745 0.7073
O4 0.4958 0.9957 0.7287
O5 0.5018 0.7598 0.9988
O6 0.5457 0.2706 0.9796
O7 0.9271 0.1330 0.3069
O8 0.9602 0.5975 0.2696
O9 0.9806 0.7223 0.6466
O10 0.9914 0.2277 0.6658
```

Top 10 peaks for 10° ≤ 2θ ≤ 90°, by intensity:
2theta	I (rel.)
32.87	1000
31.67	942
32.11	881
31.89	877
31.00	690
28.89	658
21.31	568
48.19	468
43.47	351
39.04	340

***

Entry 5:
For Ba2LiY2Fe4O10, a cell relaxed with GGA+U gives the theoretical XRD peak list in this record (copper Kα).
Lines closer than 0.1° are merged.

Cell and atoms:
```
data_Ba2LiY2Fe4O10
_space_group_name_H-M_alt 'P 1'
_space_group_IT_number 1
_cell_length_a 7.9103
_cell_length_b 3.7148
_cell_length_c 9.3086
_cell_angle_alpha 90.00
_cell_angle_beta 90.95
_cell_angle_gamma 90.00
loop_
_space_group_symop_operation_xyz
'x,y,z'
loop_
_atom_site_label
_atom_site_fract_x
_atom_site_fract_y
_atom_site_fract_z
Ba1 0.0000 0.0000 0.0000
Ba2 0.4963 0.0000 0.9157
Li1 0.5300 0.0000 0.2524
Y1 0.0299 0.0000 0.4151
Y2 0.5473 0.0000 0.5351
Fe1 0.2370 0.5000 0.6630
Fe2 0.2921 0.5000 0.2286
Fe3 0.7520 0.5000 0.2472
Fe4 0.8213 0.5000 0.6980
O1 0.0068 0.5000 0.5595
O2 0.0348 0.5000 0.2516
O3 0.1873 0.5000 0.8582
O4 0.2627 0.0000 0.5712
O5 0.3137 0.0000 0.1567
O6 0.4970 0.5000 0.6783
O7 0.4986 0.5000 0.3592
O8 0.7155 0.5000 0.0387
O9 0.7558 0.0000 0.3603
O10 0.7650 0.0000 0.7214
```

Top 10 peaks for 10° ≤ 2θ ≤ 90°, by intensity:
2theta	I (rel.)
30.80	1000
33.09	659
29.40	457
29.89	392
49.05	249
39.38	216
45.89	187
39.67	173
31.14	140
56.00	129

***

Entry 6:
For BaLuFe4O7, a cell relaxed with GGA+U gives the theoretical XRD peak list in this record (copper Kα).
Lines closer than 0.1° are merged.

Cell and atoms:
```
data_BaLuFe4O7
_space_group_name_H-M_alt 'P 1'
_space_group_IT_number 1
_cell_length_a 6.4196
_cell_length_b 6.4196
_cell_length_c 6.4196
_cell_angle_alpha 121.36
_cell_angle_beta 121.36
_cell_angle_gamma 87.67
loop_
_space_group_symop_operation_xyz
'x,y,z'
loop_
_atom_site_label
_atom_site_fract_x
_atom_site_fract_y
_atom_site_fract_z
Ba1 0.0000 0.0000 0.0000
Lu1 0.7500 0.2500 0.5000
Fe1 0.3386 0.6292 0.2288
Fe2 0.3708 0.5996 0.7094
Fe3 0.4004 0.1098 0.7712
Fe4 0.8902 0.6614 0.2906
O1 0.0240 0.0340 0.6009
O2 0.4331 0.4231 0.3991
O3 0.5000 0.5000 0.0000
O4 0.5080 0.0080 0.5000
O5 0.5769 0.9760 0.0100
O6 0.9660 0.5669 0.9900
O7 0.9920 0.4920 0.5000
```

Top 10 peaks for 10° ≤ 2θ ≤ 90°, by intensity:
2theta	I (rel.)
33.30	1000
27.82	645
32.30	516
57.47	341
28.39	315
49.92	291
53.47	251
34.48	246
17.04	212
48.85	166